The following is a theoretical powder X-ray diffraction pattern of Rb2Mn3Te4. It was derived from a DFT-relaxed cell (PBE, the Materials Project), using Cu Ka.
Lines closer than 0.1° are merged.

Most intense lines, 2θ = 10–90°, sorted by position:
3.415 Å, I 100
3.309 Å, I 13
3.201 Å, I 14
2.547 Å, I 11
2.301 Å, I 28
2.019 Å, I 13
1.994 Å, I 12
1.930 Å, I 17
1.887 Å, I 20
1.469 Å, I 15

```
18
Lattice="-3.309 6.402 7.644 3.309 -6.402 7.644 3.309 6.402 -7.644" Properties=species:S:1:pos:R:3 pbc="T T T"
Rb 1.555 1.567 0.000
Rb 1.555 -1.567 7.644
Rb 1.753 7.969 0.000
Rb 1.753 4.835 7.644
Mn 3.309 3.420 -3.822
Mn 3.309 0.000 3.822
Mn 0.000 2.983 3.822
Mn 3.309 3.420 3.822
Mn 0.000 6.402 3.822
Mn 0.000 2.983 11.466
Te 1.815 -1.681 2.208
Te 1.494 4.722 -2.208
Te 4.803 1.681 2.208
Te 1.815 1.681 5.436
Te 1.494 4.722 2.208
Te -1.494 4.722 5.436
Te 1.815 1.681 9.852
Te 1.494 8.083 5.436
```

=====

The following is a theoretical powder X-ray diffraction pattern of Ta2MnRe2Se8. It was derived from a DFT-relaxed cell (PBE, the Materials Project), using Cu Ka.
Lines closer than 0.1° are merged.

Most intense lines, 2θ = 10–90°, sorted by position:
6.653 Å, I 97
3.001 Å, I 20
2.927 Å, I 29
2.735 Å, I 65
2.485 Å, I 17
2.228 Å, I 100
1.783 Å, I 21
1.732 Å, I 38
1.368 Å, I 21
1.200 Å, I 22

```
13
Lattice="3.465 0.000 0.000 -1.732 3.001 0.000 0.000 0.000 26.611" Properties=species:S:1:pos:R:3 pbc="T T T"
Ta 0.000 0.000 0.000
Ta 0.000 0.000 13.265
Mn 0.000 0.000 23.172
Re 0.000 0.000 6.612
Re 0.000 0.000 19.845
Se 0.000 2.000 5.053
Se 0.000 2.000 8.172
Se 0.000 2.000 18.334
Se 0.000 2.000 21.577
Se 1.732 1.000 1.669
Se 1.732 1.000 11.586
Se 1.732 1.000 14.943
Se 1.732 1.000 24.892
```

=====

The following is a theoretical powder X-ray diffraction pattern of SrMnRe2. It was derived from a DFT-relaxed cell (PBE, the Materials Project), using Cu Ka.
Lines closer than 0.1° are merged.

Most intense lines, 2θ = 10–90°, sorted by position:
3.723 Å, I 23
2.280 Å, I 100
1.944 Å, I 12
1.612 Å, I 17
1.479 Å, I 5
1.316 Å, I 34
1.241 Å, I 4
1.140 Å, I 11

```
16
Lattice="6.448 0.000 0.000 0.000 6.448 0.000 0.000 0.000 6.448" Properties=species:S:1:pos:R:3 pbc="T T T"
Sr 0.000 0.000 0.000
Sr 0.000 3.224 3.224
Sr 3.224 0.000 3.224
Sr 3.224 3.224 0.000
Mn 1.612 1.612 4.836
Mn 1.612 4.836 1.612
Mn 4.836 1.612 1.612
Mn 4.836 4.836 4.836
Re 0.000 0.000 3.224
Re 0.000 3.224 0.000
Re 1.612 1.612 1.612
Re 1.612 4.836 4.836
Re 3.224 0.000 0.000
Re 3.224 3.224 3.224
Re 4.836 1.612 4.836
Re 4.836 4.836 1.612
```

=====

The following is a theoretical powder X-ray diffraction pattern of Ta2MnRe. It was derived from a DFT-relaxed cell (PBE, the Materials Project), using Cu Ka.
Lines closer than 0.1° are merged.

Most intense lines, 2θ = 10–90°, sorted by position:
3.633 Å, I 11
3.146 Å, I 5
2.225 Å, I 100
1.897 Å, I 6
1.573 Å, I 17
1.444 Å, I 3
1.407 Å, I 2
1.284 Å, I 34
1.211 Å, I 2
1.112 Å, I 11

```
16
Lattice="6.292 0.000 0.000 0.000 6.292 0.000 0.000 0.000 6.292" Properties=species:S:1:pos:R:3 pbc="T T T"
Ta 1.573 1.573 1.573
Ta 1.573 1.573 4.719
Ta 1.573 4.719 1.573
Ta 1.573 4.719 4.719
Ta 4.719 1.573 1.573
Ta 4.719 1.573 4.719
Ta 4.719 4.719 1.573
Ta 4.719 4.719 4.719
Mn 0.000 0.000 0.000
Mn 0.000 3.146 3.146
Mn 3.146 0.000 3.146
Mn 3.146 3.146 0.000
Re 0.000 0.000 3.146
Re 0.000 3.146 0.000
Re 3.146 0.000 0.000
Re 3.146 3.146 3.146
```

=====

The following is a theoretical powder X-ray diffraction pattern of Mn3Rh. It was derived from a DFT-relaxed cell (PBE, the Materials Project), using Cu Ka.
Lines closer than 0.1° are merged.

Most intense lines, 2θ = 10–90°, sorted by position:
3.606 Å, I 11
2.550 Å, I 9
2.082 Å, I 100
1.803 Å, I 47
1.612 Å, I 5
1.472 Å, I 4
1.275 Å, I 27
1.202 Å, I 2
1.140 Å, I 2

```
4
Lattice="3.606 0.000 0.000 0.000 3.606 0.000 0.000 0.000 3.606" Properties=species:S:1:pos:R:3 pbc="T T T"
Mn 0.000 0.000 1.803
Mn 0.000 1.803 0.000
Mn 1.803 0.000 0.000
Rh 1.803 1.803 1.803
```

=====

The following is a theoretical powder X-ray diffraction pattern of MnSbRh. It was derived from a DFT-relaxed cell (PBE, the Materials Project), using Cu Ka.
Lines closer than 0.1° are merged.

Most intense lines, 2θ = 10–90°, sorted by position:
3.481 Å, I 11
3.015 Å, I 49
2.132 Å, I 100
1.818 Å, I 5
1.741 Å, I 13
1.507 Å, I 16
1.383 Å, I 2
1.348 Å, I 17
1.231 Å, I 32
1.160 Å, I 1

```
12
Lattice="6.029 0.000 0.000 0.000 6.029 0.000 0.000 0.000 6.029" Properties=species:S:1:pos:R:3 pbc="T T T"
Mn 0.000 0.000 0.000
Mn 0.000 3.015 3.015
Mn 3.015 0.000 3.015
Mn 3.015 3.015 0.000
Sb 1.507 1.507 1.507
Sb 1.507 4.522 4.522
Sb 4.522 1.507 4.522
Sb 4.522 4.522 1.507
Rh 1.507 1.507 4.522
Rh 1.507 4.522 1.507
Rh 4.522 1.507 1.507
Rh 4.522 4.522 4.522
```

=====

The following is a theoretical powder X-ray diffraction pattern of MnSbRh. It was derived from a DFT-relaxed cell (PBE, the Materials Project), using Cu Ka.
Lines closer than 0.1° are merged.

Most intense lines, 2θ = 10–90°, sorted by position:
3.527 Å, I 50
3.054 Å, I 9
2.160 Å, I 100
1.842 Å, I 24
1.763 Å, I 2
1.527 Å, I 16
1.401 Å, I 10
1.366 Å, I 3
1.247 Å, I 32
1.176 Å, I 7

```
12
Lattice="6.109 0.000 0.000 0.000 6.109 0.000 0.000 0.000 6.109" Properties=species:S:1:pos:R:3 pbc="T T T"
Mn 0.000 0.000 0.000
Mn 0.000 3.054 3.054
Mn 3.054 0.000 3.054
Mn 3.054 3.054 0.000
Sb 0.000 0.000 3.054
Sb 0.000 3.054 0.000
Sb 3.054 0.000 0.000
Sb 3.054 3.054 3.054
Rh 1.527 1.527 1.527
Rh 1.527 4.582 4.582
Rh 4.582 1.527 4.582
Rh 4.582 4.582 1.527
```

=====

The following is a theoretical powder X-ray diffraction pattern of MnSbRh. It was derived from a DFT-relaxed cell (PBE, the Materials Project), using Cu Ka.
Lines closer than 0.1° are merged.

Most intense lines, 2θ = 10–90°, sorted by position:
3.539 Å, I 55
3.064 Å, I 3
2.167 Å, I 100
1.848 Å, I 26
1.769 Å, I 1
1.532 Å, I 16
1.406 Å, I 11
1.370 Å, I 1
1.251 Å, I 32
1.180 Å, I 8

```
12
Lattice="6.129 0.000 0.000 0.000 6.129 0.000 0.000 0.000 6.129" Properties=species:S:1:pos:R:3 pbc="T T T"
Mn 0.000 0.000 0.000
Mn 0.000 3.064 3.064
Mn 3.064 0.000 3.064
Mn 3.064 3.064 0.000
Sb 1.532 1.532 1.532
Sb 1.532 4.597 4.597
Sb 4.597 1.532 4.597
Sb 4.597 4.597 1.532
Rh 0.000 0.000 3.064
Rh 0.000 3.064 0.000
Rh 3.064 0.000 0.000
Rh 3.064 3.064 3.064
```